Entry 1:
# Pu2N3
Calculated X-ray powder pattern, Cu Ka. Input: a DFT-relaxed cell (PBE, Alexandria).
Kinematic intensities with the Lorentz-polarization factor, no thermal factor.

The 12 most intense peaks (2θ = 10–90°), by angle:
hkl	2θ (°)	d [Å]	I_rel
1 0 0	28.1	3.173	26
0 0 2	31.1	2.874	26
0 1 1	32.2	2.778	100
0 1 2	42.4	2.130	20
1 1 0	49.8	1.832	26
1 0 3	56.1	1.640	25
1 1 2	59.9	1.545	26
2 0 1	60.6	1.529	18
0 2 3	78.2	1.222	10
1 2 1	82.1	1.174	16
1 1 4	86.0	1.131	10
1 2 2	88.3	1.107	5

Cell and atoms:
```
data_Pu2N3
_chemical_formula_sum 'Pu2 N3'
_cell_length_a 3.6633
_cell_length_b 3.6633
_cell_length_c 5.7489
_cell_angle_alpha 90.00
_cell_angle_beta 90.00
_cell_angle_gamma 120.00
_symmetry_space_group_name_H-M 'P 1'
_symmetry_Int_Tables_number 1
_symmetry_space_group_name_Hall 'P 1'
loop_
_atom_site_label
_atom_site_type_symbol
_atom_site_fract_x
_atom_site_fract_y
_atom_site_fract_z
Pu1 Pu 0.3333 0.6667 0.2464
Pu2 Pu 0.6667 0.3333 0.7536
N1 N 0.0000 0.0000 0.0000
N2 N 0.3333 0.6667 0.6431
N3 N 0.6667 0.3333 0.3569
```



Entry 2:
# MoPd12Pb3
Calculated X-ray powder pattern, Cu Ka. Input: a DFT-relaxed cell (PBE, Alexandria).
Kinematic intensities with the Lorentz-polarization factor, no thermal factor.

The 12 most intense peaks (2θ = 10–90°), by angle:
hkl	2θ (°)	d [Å]	I_rel
1 0 0	21.9	4.059	4
1 0 4	31.1	2.880	3
1 1 3	35.3	2.541	2
1 1 4	38.3	2.349	100
0 0 8	44.3	2.044	15
2 0 0	44.6	2.029	33
2 0 4	50.2	1.817	2
2 0 8	64.7	1.440	20
2 2 0	65.0	1.435	11
1 1 12	77.6	1.231	11
3 1 4	78.0	1.225	25
2 2 8	82.1	1.174	10

Cell and atoms:
```
data_MoPd12Pb3
_chemical_formula_sum 'Mo1 Pd12 Pb3'
_cell_length_a 4.0590
_cell_length_b 4.0590
_cell_length_c 16.3487
_cell_angle_alpha 90.00
_cell_angle_beta 90.00
_cell_angle_gamma 90.00
_symmetry_space_group_name_H-M 'P 1'
_symmetry_Int_Tables_number 1
_symmetry_space_group_name_Hall 'P 1'
loop_
_atom_site_label
_atom_site_type_symbol
_atom_site_fract_x
_atom_site_fract_y
_atom_site_fract_z
Mo1 Mo 0.0000 0.0000 0.0000
Pd1 Pd 0.0000 0.5000 0.1140
Pd2 Pd 0.0000 0.5000 0.3724
Pd3 Pd 0.0000 0.5000 0.6276
Pd4 Pd 0.0000 0.5000 0.8860
Pd5 Pd 0.5000 0.0000 0.1140
Pd6 Pd 0.5000 0.0000 0.3724
Pd7 Pd 0.5000 0.0000 0.6276
Pd8 Pd 0.5000 0.0000 0.8860
Pd9 Pd 0.5000 0.5000 0.0000
Pd10 Pd 0.5000 0.5000 0.2429
Pd11 Pd 0.5000 0.5000 0.5000
Pd12 Pd 0.5000 0.5000 0.7571
Pb1 Pb 0.0000 0.0000 0.2474
Pb2 Pb 0.0000 0.0000 0.5000
Pb3 Pb 0.0000 0.0000 0.7526
```



Entry 3:
# SrCa5
Calculated X-ray powder pattern, Cu Ka. Input: a DFT-relaxed cell (PBE, Alexandria).
Kinematic intensities with the Lorentz-polarization factor, no thermal factor.

The 12 most intense peaks (2θ = 10–90°), by angle:
hkl	2θ (°)	d [Å]	I_rel
1 3 0	27.6	3.234	100
0 3 2	31.8	2.812	34
2 0 0	32.2	2.778	16
0 6 0	45.6	1.988	12
2 3 2	45.9	1.976	23
1 6 2	54.2	1.694	27
3 3 0	54.7	1.679	13
2 6 0	57.0	1.617	12
0 6 4	66.5	1.406	3
3 6 2	73.9	1.283	10
2 6 4	75.8	1.254	5
4 3 2	76.5	1.245	5

Cell and atoms:
```
data_SrCa5
_chemical_formula_sum 'Sr2 Ca10'
_cell_length_a 5.5561
_cell_length_b 11.9190
_cell_length_c 7.9595
_cell_angle_alpha 90.00
_cell_angle_beta 90.00
_cell_angle_gamma 90.00
_symmetry_space_group_name_H-M 'P 1'
_symmetry_Int_Tables_number 1
_symmetry_space_group_name_Hall 'P 1'
loop_
_atom_site_label
_atom_site_type_symbol
_atom_site_fract_x
_atom_site_fract_y
_atom_site_fract_z
Sr1 Sr 0.2500 0.2500 0.1260
Sr2 Sr 0.7500 0.7500 0.8740
Ca1 Ca 0.2500 0.2500 0.6232
Ca2 Ca 0.2500 0.5799 0.6211
Ca3 Ca 0.2500 0.5831 0.1296
Ca4 Ca 0.2500 0.9169 0.1296
Ca5 Ca 0.2500 0.9201 0.6211
Ca6 Ca 0.7500 0.0799 0.3789
Ca7 Ca 0.7500 0.0831 0.8704
Ca8 Ca 0.7500 0.4169 0.8704
Ca9 Ca 0.7500 0.4201 0.3789
Ca10 Ca 0.7500 0.7500 0.3768
```



> Which formula does entry 3 have?

SrCa5